[1]
Structure and simulated powder diffraction line list of AuN4 (DFT lattice parameters and positions (GGA-PBE); CuKα).

Peak list (10 most intense, 10° ≤ 2θ ≤ 90°, most intense first)
hkl 1 0 0, 4.318 Å, 2θ = 20.6°, rel. 100.0
hkl 1 1 0, 3.053 Å, 2θ = 29.2°, rel. 86.1
hkl 2 1 0, 1.931 Å, 2θ = 47.1°, rel. 47.8
hkl 2 1 1, 1.763 Å, 2θ = 51.9°, rel. 36.0
hkl 2 0 0, 2.159 Å, 2θ = 41.8°, rel. 26.2
hkl 3 0 0, 1.439 Å, 2θ = 64.8°, rel. 23.3
hkl 3 2 1, 1.154 Å, 2θ = 83.8°, rel. 19.0
hkl 1 1 1, 2.493 Å, 2θ = 36.0°, rel. 17.8
hkl 2 2 0, 1.527 Å, 2θ = 60.7°, rel. 16.4
hkl 3 1 0, 1.365 Å, 2θ = 68.7°, rel. 15.7

```
data_AuN4
_symmetry_space_group_name_H-M 'P m -3 m'
_symmetry_Int_Tables_number 221
_symmetry_space_group_name_Hall '-P 4 2 3'
_cell_length_a 4.3181
_cell_length_b 4.3181
_cell_length_c 4.3181
_cell_angle_alpha 90.00
_cell_angle_beta 90.00
_cell_angle_gamma 90.00
loop_
_atom_site_label
_atom_site_type_symbol
_atom_site_fract_x
_atom_site_fract_y
_atom_site_fract_z
Au1 Au 0.0000 0.0000 0.0000
N1 N 0.0000 0.0000 0.5000
N2 N 0.5000 0.5000 0.5000
```



[2]
Structure and simulated powder diffraction line list of Zr3Te (DFT lattice parameters and positions (GGA-PBE); CuKα).

Peak list (10 most intense, 10° ≤ 2θ ≤ 90°, most intense first)
hkl 1 4 1, 2.485 Å, 2θ = 36.1°, rel. 100.0
hkl 2 3 1, 2.762 Å, 2θ = 32.4°, rel. 74.4
hkl 1 5 0, 2.233 Å, 2θ = 40.4°, rel. 66.7
hkl 2 2 2, 2.321 Å, 2θ = 38.8°, rel. 56.7
hkl 1 1 2, 2.677 Å, 2θ = 33.5°, rel. 51.2
hkl 3 3 0, 2.687 Å, 2θ = 33.4°, rel. 45.3
hkl 4 2 0, 2.549 Å, 2θ = 35.2°, rel. 38.4
hkl 7 1 2, 1.402 Å, 2θ = 66.7°, rel. 24.7
hkl 3 4 1, 2.115 Å, 2θ = 42.7°, rel. 21.1
hkl 1 2 1, 3.793 Å, 2θ = 23.5°, rel. 18.1

```
data_Zr3Te
_symmetry_space_group_name_H-M 'I -4'
_symmetry_Int_Tables_number 82
_cell_length_a 11.3980
_cell_length_b 11.3980
_cell_length_c 5.6773
_cell_angle_alpha 90.00
_cell_angle_beta 90.00
_cell_angle_gamma 90.00
loop_
_symmetry_equiv_pos_as_xyz
'x,y,z'
'y,-x,-z'
'-x,-y,z'
'-y,x,-z'
'x+1/2,y+1/2,z+1/2'
'y+1/2,-x+1/2,-z+1/2'
'-x+1/2,-y+1/2,z+1/2'
'-y+1/2,x+1/2,-z+1/2'
loop_
_atom_site_label
_atom_site_type_symbol
_atom_site_fract_x
_atom_site_fract_y
_atom_site_fract_z
Zr1 Zr 0.0184 0.1421 0.2267
Zr2 Zr 0.0822 0.6033 0.0394
Zr3 Zr 0.1871 0.7173 0.4864
Te1 Te 0.0315 0.2116 0.7262
```



[3]
Structure and simulated powder diffraction line list of LaDy2Ag2 (DFT lattice parameters and positions (GGA-PBE); CuKα).

Peak list (10 most intense, 10° ≤ 2θ ≤ 90°, most intense first)
hkl 1 1 1, 2.707 Å, 2θ = 33.1°, rel. 100.0
hkl 0 2 -2, 2.783 Å, 2θ = 32.2°, rel. 81.8
hkl 2 -2 1, 2.573 Å, 2θ = 34.9°, rel. 55.3
hkl -1 1 2, 2.796 Å, 2θ = 32.0°, rel. 55.3
hkl 1 -1 3, 2.315 Å, 2θ = 38.9°, rel. 43.3
hkl 2 -1 1, 2.821 Å, 2θ = 31.7°, rel. 38.3
hkl 1 0 -3, 2.429 Å, 2θ = 37.0°, rel. 36.3
hkl 1 -2 0, 3.071 Å, 2θ = 29.1°, rel. 31.9
hkl 2 -1 0, 3.118 Å, 2θ = 28.6°, rel. 30.6
hkl 2 0 -1, 2.895 Å, 2θ = 30.9°, rel. 28.3

```
data_LaDy2Ag2
_symmetry_space_group_name_H-M 'P -1'
_symmetry_Int_Tables_number 2
_cell_length_a 6.2963
_cell_length_b 6.5021
_cell_length_c 7.8323
_cell_angle_alpha 108.49
_cell_angle_beta 95.08
_cell_angle_gamma 111.10
loop_
_symmetry_equiv_pos_as_xyz
'x,y,z'
'-x,-y,-z'
loop_
_atom_site_label
_atom_site_type_symbol
_atom_site_fract_x
_atom_site_fract_y
_atom_site_fract_z
La1 La 0.1689 0.0831 0.2853
Dy1 Dy 0.2113 0.5108 0.7123
Dy2 Dy 0.4240 0.1362 0.8484
Ag1 Ag 0.1507 0.4081 0.0676
Ag2 Ag 0.3259 0.7458 0.4482
```



[4]
Structure and simulated powder diffraction line list of Pm3Ge2Ir3 (DFT lattice parameters and positions (GGA-PBE); CuKα).

Peak list (10 most intense, 10° ≤ 2θ ≤ 90°, most intense first)
hkl 1 1 4, 2.742 Å, 2θ = 32.7°, rel. 100.0
hkl 1 3 0, 2.687 Å, 2θ = 33.4°, rel. 49.5
hkl 0 2 5, 2.647 Å, 2θ = 33.9°, rel. 45.1
hkl 2 0 0, 2.114 Å, 2θ = 42.8°, rel. 42.8
hkl 1 3 4, 2.201 Å, 2θ = 41.0°, rel. 42.0
hkl 1 3 3, 2.379 Å, 2θ = 37.8°, rel. 33.9
hkl 0 4 3, 2.325 Å, 2θ = 38.7°, rel. 23.9
hkl 0 2 7, 2.022 Å, 2θ = 44.8°, rel. 20.6
hkl 1 7 0, 1.406 Å, 2θ = 66.5°, rel. 20.3
hkl 0 4 0, 2.610 Å, 2θ = 34.4°, rel. 18.3

```
data_Pm3Ge2Ir3
_symmetry_space_group_name_H-M 'C m c m'
_symmetry_Int_Tables_number 63
_symmetry_space_group_name_Hall '-C 2c 2'
_cell_length_a 4.2274
_cell_length_b 10.4389
_cell_length_c 15.3553
_cell_angle_alpha 90.00
_cell_angle_beta 90.00
_cell_angle_gamma 90.00
loop_
_atom_site_label
_atom_site_type_symbol
_atom_site_fract_x
_atom_site_fract_y
_atom_site_fract_z
Pm1 Pm 0.0000 0.0718 0.1077
Pm2 Pm 0.0000 0.3597 0.2500
Ge1 Ge 0.0000 0.2194 0.6018
Ir1 Ir 0.0000 0.3376 0.7500
Ir2 Ir 0.0000 0.3607 0.0346
```



[5]
Structure and simulated powder diffraction line list of Cs2TaInSe4 (DFT lattice parameters and positions (GGA-PBE); CuKα).

Peak list (10 most intense, 10° ≤ 2θ ≤ 90°, most intense first)
hkl 1 3 3, 3.615 Å, 2θ = 24.6°, rel. 100.0
hkl 0 2 6, 3.658 Å, 2θ = 24.3°, rel. 77.8
hkl 0 0 4, 6.419 Å, 2θ = 13.8°, rel. 76.7
hkl 2 0 6, 2.826 Å, 2θ = 31.7°, rel. 67.1
hkl 2 2 0, 3.321 Å, 2θ = 26.8°, rel. 57.3
hkl 0 2 2, 6.181 Å, 2θ = 14.3°, rel. 55.8
hkl 1 3 5, 3.149 Å, 2θ = 28.3°, rel. 45.3
hkl 2 6 0, 1.994 Å, 2θ = 45.5°, rel. 38.2
hkl 2 4 6, 2.205 Å, 2θ = 40.9°, rel. 37.8
hkl 1 1 3, 5.246 Å, 2θ = 16.9°, rel. 36.8

```
data_Cs2TaInSe4
_symmetry_space_group_name_H-M 'F d d d'
_symmetry_Int_Tables_number 70
_cell_length_a 7.5279
_cell_length_b 14.1062
_cell_length_c 25.6685
_cell_angle_alpha 90.00
_cell_angle_beta 90.00
_cell_angle_gamma 90.00
loop_
_symmetry_equiv_pos_as_xyz
'x,y,z'
'-x,-y,-z'
'-x+1/4,-y+1/4,z'
'x+1/4,y+1/4,-z'
'x,-y+1/4,-z+1/4'
'-x,y+1/4,z+1/4'
'-x+1/4,y,-z+1/4'
'x+1/4,-y,z+1/4'
'x,y+1/2,z+1/2'
'-x,-y+1/2,-z+1/2'
'-x+1/4,-y+3/4,z+1/2'
'x+1/4,y+3/4,-z+1/2'
'x,-y+3/4,-z+3/4'
'-x,y+3/4,z+3/4'
'-x+1/4,y+1/2,-z+3/4'
'x+1/4,-y+1/2,z+3/4'
'x+1/2,y,z+1/2'
'-x+1/2,-y,-z+1/2'
'-x+3/4,-y+1/4,z+1/2'
'x+3/4,y+1/4,-z+1/2'
'x+1/2,-y+1/4,-z+3/4'
'-x+1/2,y+1/4,z+3/4'
'-x+3/4,y,-z+3/4'
'x+3/4,-y,z+3/4'
'x+1/2,y+1/2,z'
'-x+1/2,-y+1/2,-z'
'-x+3/4,-y+3/4,z'
'x+3/4,y+3/4,-z'
'x+1/2,-y+3/4,-z+1/4'
'-x+1/2,y+3/4,z+1/4'
'-x+3/4,y+1/2,-z+1/4'
'x+3/4,-y+1/2,z+1/4'
loop_
_atom_site_label
_atom_site_type_symbol
_atom_site_fract_x
_atom_site_fract_y
_atom_site_fract_z
Cs1 Cs 0.1250 0.1250 0.3049
Ta1 Ta 0.1250 0.1250 0.6250
In1 In 0.1250 0.1250 0.1250
Se1 Se 0.0731 0.2789 0.8227
```



[6]
Structure and simulated powder diffraction line list of Tb5Y3 (DFT lattice parameters and positions (GGA-PBE); CuKα).

Peak list (10 most intense, 10° ≤ 2θ ≤ 90°, most intense first)
hkl 1 1 2, 2.757 Å, 2θ = 32.5°, rel. 100.0
hkl 0 0 4, 3.156 Å, 2θ = 28.3°, rel. 23.9
hkl 0 2 0, 2.831 Å, 2θ = 31.6°, rel. 23.6
hkl 2 2 0, 1.532 Å, 2θ = 60.4°, rel. 22.0
hkl 1 3 2, 1.620 Å, 2θ = 56.8°, rel. 19.9
hkl 2 0 0, 1.822 Å, 2θ = 50.1°, rel. 19.5
hkl 0 1 8, 1.520 Å, 2θ = 60.9°, rel. 16.5
hkl 0 2 4, 2.107 Å, 2θ = 42.9°, rel. 15.5
hkl 2 1 8, 1.167 Å, 2θ = 82.7°, rel. 13.6
hkl 2 4 0, 1.118 Å, 2θ = 87.2°, rel. 8.0

```
data_Tb5Y3
_symmetry_space_group_name_H-M 'P m m 2'
_symmetry_Int_Tables_number 25
_cell_length_a 3.6459
_cell_length_b 5.6618
_cell_length_c 12.6202
_cell_angle_alpha 90.00
_cell_angle_beta 90.00
_cell_angle_gamma 90.00
loop_
_symmetry_equiv_pos_as_xyz
'x,y,z'
'-x,-y,z'
'-x,y,z'
'x,-y,z'
loop_
_atom_site_label
_atom_site_type_symbol
_atom_site_fract_x
_atom_site_fract_y
_atom_site_fract_z
Tb1 Tb 0.0000 0.0000 0.0000
Tb2 Tb 0.0000 0.0000 0.4980
Tb3 Tb 0.0000 0.5000 0.3306
Tb4 Tb 0.5000 0.0000 0.2496
Tb5 Tb 0.5000 0.5000 0.0819
Y1 Y 0.0000 0.5000 0.8329
Y2 Y 0.5000 0.0000 0.7481
Y3 Y 0.5000 0.5000 0.5812
```



[7]
Structure and simulated powder diffraction line list of NdMg5Pt3 (DFT lattice parameters and positions (GGA-PBE); CuKα).

Peak list (10 most intense, 10° ≤ 2θ ≤ 90°, most intense first)
hkl 1 3 2, 2.787 Å, 2θ = 32.1°, rel. 100.0
hkl 1 1 2, 3.338 Å, 2θ = 26.7°, rel. 81.8
hkl 0 4 0, 3.580 Å, 2θ = 24.9°, rel. 71.5
hkl 0 2 3, 3.664 Å, 2θ = 24.3°, rel. 67.2
hkl 2 0 0, 2.034 Å, 2θ = 44.5°, rel. 34.0
hkl 0 6 3, 2.083 Å, 2θ = 43.4°, rel. 33.3
hkl 1 5 0, 2.342 Å, 2θ = 38.4°, rel. 32.7
hkl 1 1 3, 2.883 Å, 2θ = 31.0°, rel. 31.8
hkl 1 1 4, 2.476 Å, 2θ = 36.3°, rel. 27.4
hkl 1 3 5, 1.972 Å, 2θ = 46.0°, rel. 24.8

```
data_NdMg5Pt3
_symmetry_space_group_name_H-M 'C m c m'
_symmetry_Int_Tables_number 63
_symmetry_space_group_name_Hall '-C 2c 2'
_cell_length_a 4.0678
_cell_length_b 14.3220
_cell_length_c 12.7915
_cell_angle_alpha 90.00
_cell_angle_beta 90.00
_cell_angle_gamma 90.00
loop_
_atom_site_label
_atom_site_type_symbol
_atom_site_fract_x
_atom_site_fract_y
_atom_site_fract_z
Nd1 Nd 0.0000 0.1689 0.2500
Mg1 Mg 0.0000 0.0000 0.0000
Mg2 Mg 0.0000 0.1987 0.5533
Mg3 Mg 0.0000 0.4369 0.1430
Pt1 Pt 0.0000 0.1437 0.7500
Pt2 Pt 0.0000 0.3840 0.5659
```



[8]
Structure and simulated powder diffraction line list of Ba3ZnPt2O6 (DFT lattice parameters and positions (GGA-PBE); CuKα).

Peak list (10 most intense, 10° ≤ 2θ ≤ 90°, most intense first)
hkl 1 1 0, 2.970 Å, 2θ = 30.1°, rel. 100.0
hkl 0 1 2, 2.849 Å, 2θ = 31.4°, rel. 92.6
hkl 2 0 2, 2.056 Å, 2θ = 44.0°, rel. 48.6
hkl 1 2 2, 1.691 Å, 2θ = 54.3°, rel. 40.2
hkl 3 0 0, 1.715 Å, 2θ = 53.4°, rel. 20.3
hkl 3 1 2, 1.317 Å, 2θ = 71.7°, rel. 17.8
hkl 2 2 0, 1.485 Å, 2θ = 62.5°, rel. 16.1
hkl 1 0 4, 1.624 Å, 2θ = 56.7°, rel. 15.8
hkl 2 1 4, 1.285 Å, 2θ = 73.8°, rel. 14.6
hkl 0 2 4, 1.425 Å, 2θ = 65.5°, rel. 12.5

```
data_Ba3ZnPt2O6
_symmetry_space_group_name_H-M 'P -3 m 1'
_symmetry_Int_Tables_number 164
_symmetry_space_group_name_Hall '-P 3 2"'
_cell_length_a 5.9405
_cell_length_b 5.9405
_cell_length_c 6.8439
_cell_angle_alpha 90.00
_cell_angle_beta 90.00
_cell_angle_gamma 120.00
loop_
_atom_site_label
_atom_site_type_symbol
_atom_site_fract_x
_atom_site_fract_y
_atom_site_fract_z
Ba1 Ba 0.0000 0.0000 0.0000
Ba2 Ba 0.3333 0.6667 0.6470
Zn1 Zn 0.0000 0.0000 0.5000
Pt1 Pt 0.3333 0.6667 0.1587
O1 O 0.1636 0.3271 0.3138
```



[9]
Structure and simulated powder diffraction line list of Cs2KBI6 (DFT lattice parameters and positions (GGA-PBE); CuKα).

Peak list (10 most intense, 10° ≤ 2θ ≤ 90°, most intense first)
hkl 2 0 2, 3.571 Å, 2θ = 24.9°, rel. 100.0
hkl 2 2 0, 3.287 Å, 2θ = 27.1°, rel. 58.1
hkl 4 2 2, 1.948 Å, 2θ = 46.6°, rel. 36.2
hkl 4 0 0, 2.325 Å, 2θ = 38.7°, rel. 22.0
hkl 2 2 4, 2.127 Å, 2θ = 42.5°, rel. 19.3
hkl 4 0 4, 1.786 Å, 2θ = 51.2°, rel. 11.1
hkl 0 0 4, 2.789 Å, 2θ = 32.1°, rel. 10.7
hkl 6 2 4, 1.301 Å, 2θ = 72.7°, rel. 10.7
hkl 2 1 3, 2.772 Å, 2θ = 32.3°, rel. 10.3
hkl 6 2 0, 1.470 Å, 2θ = 63.3°, rel. 10.1

```
data_Cs2KBI6
_symmetry_space_group_name_H-M 'I 4/m m m'
_symmetry_Int_Tables_number 139
_symmetry_space_group_name_Hall '-I 4 2'
_cell_length_a 9.2982
_cell_length_b 9.2982
_cell_length_c 11.1549
_cell_angle_alpha 90.00
_cell_angle_beta 90.00
_cell_angle_gamma 90.00
loop_
_atom_site_label
_atom_site_type_symbol
_atom_site_fract_x
_atom_site_fract_y
_atom_site_fract_z
Cs1 Cs 0.0000 0.5000 0.2500
K1 K 0.0000 0.0000 0.0000
B1 B 0.0000 0.0000 0.5000
I1 I 0.0000 0.0000 0.3135
I2 I 0.2452 0.2452 0.5000
```



[10]
Structure and simulated powder diffraction line list of Tl6Hg23S (DFT lattice parameters and positions (GGA-PBE); CuKα).

Peak list (10 most intense, 10° ≤ 2θ ≤ 90°, most intense first)
hkl 4 4 0, 2.668 Å, 2θ = 33.6°, rel. 100.0
hkl 3 3 3, 2.904 Å, 2θ = 30.8°, rel. 52.6
hkl 9 3 3, 1.517 Å, 2θ = 61.1°, rel. 16.9
hkl 5 3 1, 2.551 Å, 2θ = 35.2°, rel. 16.9
hkl 8 4 4, 1.540 Å, 2θ = 60.1°, rel. 16.2
hkl 4 2 2, 3.080 Å, 2θ = 29.0°, rel. 13.1
hkl 6 6 0, 1.778 Å, 2θ = 51.4°, rel. 13.0
hkl 7 5 3, 1.656 Å, 2θ = 55.5°, rel. 11.1
hkl 13 3 1, 1.128 Å, 2θ = 86.2°, rel. 10.9
hkl 6 2 2, 2.275 Å, 2θ = 39.6°, rel. 10.8

```
data_Tl6Hg23S
_symmetry_space_group_name_H-M 'F m -3 m'
_symmetry_Int_Tables_number 225
_symmetry_space_group_name_Hall '-F 4 2 3'
_cell_length_a 15.0904
_cell_length_b 15.0904
_cell_length_c 15.0904
_cell_angle_alpha 90.00
_cell_angle_beta 90.00
_cell_angle_gamma 90.00
loop_
_atom_site_label
_atom_site_type_symbol
_atom_site_fract_x
_atom_site_fract_y
_atom_site_fract_z
Tl1 Tl 0.0000 0.0000 0.2022
Hg1 Hg 0.0000 0.0000 0.5000
Hg2 Hg 0.0000 0.2500 0.2500
Hg3 Hg 0.1184 0.1184 0.3816
Hg4 Hg 0.1636 0.1636 0.1636
S1 S 0.0000 0.0000 0.0000
```



[11]
Structure and simulated powder diffraction line list of In2Sb2Au5 (DFT lattice parameters and positions (GGA-PBE); CuKα).

Peak list (10 most intense, 10° ≤ 2θ ≤ 90°, most intense first)
hkl 1 0 3, 2.858 Å, 2θ = 31.3°, rel. 100.0
hkl 1 1 0, 2.039 Å, 2θ = 44.4°, rel. 38.5
hkl 0 1 6, 2.003 Å, 2θ = 45.3°, rel. 35.9
hkl 0 2 3, 1.660 Å, 2θ = 55.4°, rel. 20.1
hkl 2 1 3, 1.287 Å, 2θ = 73.6°, rel. 17.4
hkl 1 1 9, 1.269 Å, 2θ = 74.8°, rel. 16.1
hkl 1 2 6, 1.170 Å, 2θ = 82.4°, rel. 12.9
hkl 2 0 6, 1.429 Å, 2θ = 65.3°, rel. 12.0
hkl 3 0 0, 1.177 Å, 2θ = 81.8°, rel. 6.7
hkl 0 0 9, 1.621 Å, 2θ = 56.8°, rel. 6.4

```
data_In2Sb2Au5
_symmetry_space_group_name_H-M 'P -3 m 1'
_symmetry_Int_Tables_number 164
_symmetry_space_group_name_Hall '-P 3 2"'
_cell_length_a 4.0778
_cell_length_b 4.0778
_cell_length_c 14.5931
_cell_angle_alpha 90.00
_cell_angle_beta 90.00
_cell_angle_gamma 120.00
loop_
_atom_site_label
_atom_site_type_symbol
_atom_site_fract_x
_atom_site_fract_y
_atom_site_fract_z
In1 In 0.0000 0.0000 0.1595
Sb1 Sb 0.3333 0.6667 0.3870
Au1 Au 0.0000 0.0000 0.5000
Au2 Au 0.3333 0.6667 0.0525
Au3 Au 0.3333 0.6667 0.7260
```



[12]
Structure and simulated powder diffraction line list of Pm12Tl5Ag2 (DFT lattice parameters and positions (GGA-PBE); CuKα).

Peak list (10 most intense, 10° ≤ 2θ ≤ 90°, most intense first)
hkl 0 2 2, 2.891 Å, 2θ = 30.9°, rel. 100.0
hkl 4 2 0, 2.819 Å, 2θ = 31.7°, rel. 47.0
hkl 2 0 3, 2.801 Å, 2θ = 32.0°, rel. 31.9
hkl 4 0 2, 3.004 Å, 2θ = 29.7°, rel. 24.6
hkl 2 2 1, 3.154 Å, 2θ = 28.3°, rel. 22.8
hkl 6 0 -1, 2.849 Å, 2θ = 31.4°, rel. 17.9
hkl 4 2 -1, 2.751 Å, 2θ = 32.6°, rel. 17.7
hkl 0 4 0, 1.853 Å, 2θ = 49.2°, rel. 15.9
hkl 6 2 1, 2.173 Å, 2θ = 41.6°, rel. 14.9
hkl 4 0 -3, 2.647 Å, 2θ = 33.9°, rel. 14.6

```
data_Pm12Tl5Ag2
_symmetry_space_group_name_H-M 'C 1 2/m 1'
_symmetry_Int_Tables_number 12
_cell_length_a 17.4743
_cell_length_b 7.4134
_cell_length_c 9.2763
_cell_angle_alpha 90.00
_cell_angle_beta 96.18
_cell_angle_gamma 90.00
loop_
_symmetry_equiv_pos_as_xyz
'x,y,z'
'-x,-y,-z'
'-x,y,-z'
'x,-y,z'
'x+1/2,y+1/2,z'
'-x+1/2,-y+1/2,-z'
'-x+1/2,y+1/2,-z'
'x+1/2,-y+1/2,z'
loop_
_atom_site_label
_atom_site_type_symbol
_atom_site_fract_x
_atom_site_fract_y
_atom_site_fract_z
Pm1 Pm 0.0027 0.0000 0.1939
Pm2 Pm 0.0395 0.5000 0.6872
Pm3 Pm 0.1504 0.2473 0.0075
Pm4 Pm 0.1615 0.2563 0.4244
Tl1 Tl 0.0000 0.5000 0.0000
Tl2 Tl 0.1992 0.0000 0.7370
Tl3 Tl 0.2280 0.5000 0.7511
Ag1 Ag 0.0000 0.1792 0.5000
```



Repeat the eleventh record exactly.
Structure and simulated powder diffraction line list of In2Sb2Au5 (DFT lattice parameters and positions (GGA-PBE); CuKα).

Peak list (10 most intense, 10° ≤ 2θ ≤ 90°, most intense first)
hkl 1 0 3, 2.858 Å, 2θ = 31.3°, rel. 100.0
hkl 1 1 0, 2.039 Å, 2θ = 44.4°, rel. 38.5
hkl 0 1 6, 2.003 Å, 2θ = 45.3°, rel. 35.9
hkl 0 2 3, 1.660 Å, 2θ = 55.4°, rel. 20.1
hkl 2 1 3, 1.287 Å, 2θ = 73.6°, rel. 17.4
hkl 1 1 9, 1.269 Å, 2θ = 74.8°, rel. 16.1
hkl 1 2 6, 1.170 Å, 2θ = 82.4°, rel. 12.9
hkl 2 0 6, 1.429 Å, 2θ = 65.3°, rel. 12.0
hkl 3 0 0, 1.177 Å, 2θ = 81.8°, rel. 6.7
hkl 0 0 9, 1.621 Å, 2θ = 56.8°, rel. 6.4

```
data_In2Sb2Au5
_symmetry_space_group_name_H-M 'P -3 m 1'
_symmetry_Int_Tables_number 164
_symmetry_space_group_name_Hall '-P 3 2"'
_cell_length_a 4.0778
_cell_length_b 4.0778
_cell_length_c 14.5931
_cell_angle_alpha 90.00
_cell_angle_beta 90.00
_cell_angle_gamma 120.00
loop_
_atom_site_label
_atom_site_type_symbol
_atom_site_fract_x
_atom_site_fract_y
_atom_site_fract_z
In1 In 0.0000 0.0000 0.1595
Sb1 Sb 0.3333 0.6667 0.3870
Au1 Au 0.0000 0.0000 0.5000
Au2 Au 0.3333 0.6667 0.0525
Au3 Au 0.3333 0.6667 0.7260
```